Record 1
Simulated X-ray powder pattern of Cd2Sn2Sb3P for λ = 1.5418 Å (Cu Kα), from a crystal structure in OQMD, relaxed with GGA-PBE.
No peak broadening, texture or thermal motion is included.

Structural model:
a = 14.135 Å, b = 6.493 Å, c = 6.433 Å
α = 90.00°, β = 116.26°, γ = 90.00°
Space group C2 (No. 5)
Inequivalent atoms, fractional coordinates:
Cd  0.113  0.000  0.342 (multiplicity 4)
Sn  0.122  0.463  0.886 (multiplicity 4)
Sb  0.000  0.726  0.500 (multiplicity 2)
Sb  0.249  0.726  0.260 (multiplicity 4)
P  0.000  0.240  0.000 (multiplicity 2)

The 10 most intense peaks (5 to 70 degrees two-theta), by angle:
- hkl 1 1 1, d = 3.725 Å, I = 96
- hkl 3 1 -1, d = 3.689 Å, I = 100
- hkl 2 2 -2, d = 2.285 Å, I = 50
- hkl 2 0 2, d = 2.273 Å, I = 24
- hkl 4 2 0, d = 2.268 Å, I = 50
- hkl 6 0 -2, d = 2.242 Å, I = 25
- hkl 1 3 1, d = 1.954 Å, I = 16
- hkl 1 1 -3, d = 1.948 Å, I = 29
- hkl 5 1 -3, d = 1.931 Å, I = 15
- hkl 5 1 1, d = 1.925 Å, I = 15

Record 2
Simulated X-ray powder pattern of Cu2Ag3 for λ = 1.5418 Å (Cu Kα), from a crystal structure in OQMD, relaxed with GGA-PBE.
No peak broadening, texture or thermal motion is included.

Structural model:
a = 22.697 Å, b = 2.841 Å, c = 4.854 Å
α = 90.00°, β = 94.23°, γ = 90.00°
Space group Cm (No. 8)
Inequivalent atoms, fractional coordinates:
Cu  0.000  0.000  0.000 (multiplicity 2)
Cu  0.002  0.500  0.527 (multiplicity 2)
Cu  0.203  0.000  0.414 (multiplicity 2)
Cu  0.410  0.000  0.817 (multiplicity 2)
Ag  0.098  0.000  0.711 (multiplicity 2)
Ag  0.099  0.500  0.216 (multiplicity 2)
Ag  0.202  0.500  0.913 (multiplicity 2)
Ag  0.306  0.000  0.115 (multiplicity 2)
Ag  0.306  0.500  0.615 (multiplicity 2)
Ag  0.410  0.500  0.318 (multiplicity 2)

The 10 most intense peaks (5 to 70 degrees two-theta), by angle:
- hkl 8 0 0, d = 2.829 Å, I = 4
- hkl 3 1 1, d = 2.305 Å, I = 100
- hkl 4 0 -2, d = 2.287 Å, I = 49
- hkl 10 0 0, d = 2.264 Å, I = 44
- hkl 7 1 -1, d = 1.989 Å, I = 62
- hkl 6 0 2, d = 1.972 Å, I = 30
- hkl 0 2 0, d = 1.421 Å, I = 10
- hkl 1 1 -3, d = 1.406 Å, I = 19
- hkl 13 1 1, d = 1.395 Å, I = 16
- hkl 14 0 -2, d = 1.393 Å, I = 8

Record 3
Simulated X-ray powder pattern of Nd2Ho2CI2Br3 for λ = 1.5418 Å (Cu Kα), from a crystal structure in OQMD, relaxed with GGA-PBE.
No peak broadening, texture or thermal motion is included.

Structural model:
a = 18.327 Å, b = 3.906 Å, c = 8.345 Å
α = 90.00°, β = 102.28°, γ = 90.00°
Space group C2/m (No. 12)
Inequivalent atoms, fractional coordinates:
Nd  0.141  0.000  0.067 (multiplicity 4)
Ho  0.002  0.500  0.804 (multiplicity 4)
C  0.000  0.000  0.000 (multiplicity 2)
I  0.164  0.500  0.365 (multiplicity 4)
Br  0.000  0.000  0.500 (multiplicity 2)
Br  0.165  0.500  0.813 (multiplicity 4)

The 10 most intense peaks (5 to 70 degrees two-theta), by angle:
- hkl 0 0 1, d = 8.154 Å, I = 22
- hkl 3 1 -1, d = 3.164 Å, I = 25
- hkl 6 0 0, d = 2.985 Å, I = 53
- hkl 3 1 1, d = 2.919 Å, I = 34
- hkl 1 1 -2, d = 2.851 Å, I = 100
- hkl 5 1 0, d = 2.639 Å, I = 25
- hkl 2 0 3, d = 2.459 Å, I = 22
- hkl 5 1 2, d = 2.073 Å, I = 29
- hkl 7 1 -2, d = 2.051 Å, I = 31
- hkl 6 2 0, d = 1.634 Å, I = 22

Record 4
Simulated X-ray powder pattern of TmGaNiPd for λ = 1.5418 Å (Cu Kα), from a crystal structure in OQMD, relaxed with GGA-PBE.
No peak broadening, texture or thermal motion is included.

Structural model:
a = 4.2611 Å, b = 4.2611 Å, c = 8.7869 Å
α = 90.00°, β = 90.00°, γ = 120.00°
Space group P-6m2 (No. 187)
Inequivalent atoms, fractional coordinates:
Tm  0.0000  0.0000  0.0000 (multiplicity 1)
Tm  0.3333  0.6667  0.5000 (multiplicity 1)
Ga  0.6667  0.3333  0.2697 (multiplicity 2)
Ni  0.0000  0.0000  0.3300 (multiplicity 2)
Pd  0.3333  0.6667  0.1724 (multiplicity 2)

The 10 most intense peaks (5 to 70 degrees two-theta), by angle:
- hkl 1 0 0, d = 3.690 Å, I = 22
- hkl 1 0 1, d = 3.402 Å, I = 19
- hkl 1 0 2, d = 2.826 Å, I = 24
- hkl 1 0 3, d = 2.294 Å, I = 100
- hkl 0 0 4, d = 2.197 Å, I = 4
- hkl 1 1 0, d = 2.131 Å, I = 77
- hkl 2 0 2, d = 1.701 Å, I = 5
- hkl 2 0 3, d = 1.561 Å, I = 30
- hkl 1 1 4, d = 1.529 Å, I = 9
- hkl 1 0 6, d = 1.361 Å, I = 11

Record 5
Simulated X-ray powder pattern of SmHgSO for λ = 1.5418 Å (Cu Kα), from a crystal structure in OQMD, relaxed with GGA-PBE.
No peak broadening, texture or thermal motion is included.

Structural model:
a = 5.747 Å, b = 5.749 Å, c = 12.972 Å
α = 90.00°, β = 91.79°, γ = 90.00°
Space group P2_1 (No. 4)
Inequivalent atoms, fractional coordinates:
Sm  0.003  0.000  0.086 (multiplicity 2)
Sm  0.495  0.001  0.913 (multiplicity 2)
Hg  0.122  0.272  0.496 (multiplicity 2)
Hg  0.498  0.018  0.268 (multiplicity 2)
S  0.209  0.308  0.245 (multiplicity 2)
S  0.216  0.231  0.751 (multiplicity 2)
O  0.250  0.749  0.000 (multiplicity 2)
O  0.253  0.248  0.000 (multiplicity 2)

The 10 most intense peaks (5 to 70 degrees two-theta), by angle:
- hkl 0 1 1, d = 5.256 Å, I = 48
- hkl 1 0 -2, d = 4.368 Å, I = 49
- hkl 1 0 2, d = 4.234 Å, I = 50
- hkl 1 1 -2, d = 3.478 Å, I = 61
- hkl 1 1 2, d = 3.408 Å, I = 64
- hkl 1 1 -3, d = 2.994 Å, I = 97
- hkl 1 1 3, d = 2.928 Å, I = 100
- hkl 0 2 1, d = 2.806 Å, I = 51
- hkl 1 2 0, d = 2.570 Å, I = 47
- hkl 2 2 0, d = 2.031 Å, I = 56

Record 6
Simulated X-ray powder pattern of BaNaNdSi3O9 for λ = 1.5418 Å (Cu Kα), from a crystal structure in OQMD, relaxed with GGA-PBE.
No peak broadening, texture or thermal motion is included.

Structural model:
a = 5.645 Å, b = 11.439 Å, c = 12.581 Å
α = 90.00°, β = 90.00°, γ = 90.00°
Space group P2_12_12_1 (No. 19)
Inequivalent atoms, fractional coordinates:
Ba  0.102  0.118  0.080 (multiplicity 4)
Na  0.078  0.789  0.106 (multiplicity 4)
Nd  0.118  0.473  0.140 (multiplicity 4)
Si  0.097  0.847  0.859 (multiplicity 4)
Si  0.103  0.585  0.877 (multiplicity 4)
Si  0.106  0.198  0.813 (multiplicity 4)
O  0.012  0.491  0.962 (multiplicity 4)
O  0.025  0.444  0.567 (multiplicity 4)
O  0.099  0.321  0.740 (multiplicity 4)
O  0.100  0.720  0.929 (multiplicity 4)
O  0.101  0.094  0.719 (multiplicity 4)
O  0.126  0.691  0.612 (multiplicity 4)
O  0.138  0.131  0.315 (multiplicity 4)
O  0.141  0.439  0.325 (multiplicity 4)
O  0.151  0.815  0.378 (multiplicity 4)

The 10 most intense peaks (5 to 70 degrees two-theta), by angle:
- hkl 1 1 2, d = 3.944 Å, I = 47
- hkl 1 2 1, d = 3.827 Å, I = 63
- hkl 1 2 2, d = 3.385 Å, I = 59
- hkl 1 1 3, d = 3.229 Å, I = 53
- hkl 1 3 0, d = 3.160 Å, I = 55
- hkl 0 0 4, d = 3.145 Å, I = 63
- hkl 1 3 1, d = 3.065 Å, I = 100
- hkl 1 3 2, d = 2.823 Å, I = 82
- hkl 2 0 1, d = 2.754 Å, I = 74
- hkl 2 3 1, d = 2.231 Å, I = 57